The following is a computed X-ray diffraction stick pattern of Sr3NiPbO6. It was derived from DFT lattice parameters and positions (GGA+U), using Cu Kα (λ = 1.5418 Å).
Intensities are scaled so that the largest is 100.

Structure:
a = 9.8142 Å, b = 9.8142 Å, c = 11.4877 Å
α = 90.00°, β = 90.00°, γ = 120.00°
Space group R-3c (No. 167, hexagonal axes)
Inequivalent atoms, fractional coordinates:
Sr: 0.0000 0.3712 0.2500 [18 per cell]
Ni: 0.0000 0.0000 0.0000 [6 per cell]
Pb: 0.0000 0.0000 0.2500 [6 per cell]
O: 0.0197 0.1770 0.3840 [36 per cell]

Main lines, by angle (2θ = 10–80°):
two_theta	d_spacing	Rel. int.	index
18.08	4.907	47	1 1 0
26.08	3.416	32	2 0 2
29.59	3.019	42	1 1 3
31.58	2.833	100	3 0 0
31.92	2.804	23	1 2 2
37.81	2.380	36	0 2 4
42.21	2.141	41	2 1 4
43.82	2.066	24	2 2 3
57.09	1.613	30	3 2 4
58.15	1.586	21	3 0 6